Record 1
AsPtPbO: computed powder diffractogram (Cu Kα), based on a DFT-relaxed cell (PBE, OQMD).
Intensities are scaled so that the largest is 100.

Top 12 peaks for 10° ≤ 2θ ≤ 90°, most intense first:
2θ/deg	d_spacing	Rel. int.
30.17	2.962	100
39.95	2.257	78
32.37	2.766	77
26.36	3.381	38
29.47	3.031	31
62.84	1.479	26
51.27	1.782	22
50.46	1.809	19
53.71	1.707	17
48.96	1.860	15
37.44	2.402	15
65.31	1.429	15

Structure:
```
data_AsPtPbO
_chemical_formula_sum 'As2 Pt2 Pb2 O2'
_cell_length_a 3.4133
_cell_length_b 6.5910
_cell_length_c 6.7613
_cell_angle_alpha 90.00
_cell_angle_beta 90.00
_cell_angle_gamma 90.00
_symmetry_space_group_name_H-M 'P 1'
_symmetry_Int_Tables_number 1
loop_
_symmetry_equiv_pos_as_xyz
'x,y,z'
loop_
_atom_site_label
_atom_site_type_symbol
_atom_site_fract_x
_atom_site_fract_y
_atom_site_fract_z
As1 As 0.0000 0.0707 0.0000
As2 As 0.0000 0.9293 0.5000
Pt1 Pt 0.5000 0.1486 0.2475
Pt2 Pt 0.5000 0.8514 0.7475
Pb1 Pb 0.0000 0.4116 0.6852
Pb2 Pb 0.0000 0.5884 0.1852
O1 O 0.5000 0.4084 0.4389
O2 O 0.5000 0.5916 0.9389
```

Record 2
Li2MgScIn2Cu2: computed powder diffractogram (Cu Kα), based on a DFT-relaxed cell (PBE, OQMD).
Intensities are scaled so that the largest is 100.

Top 12 peaks for 10° ≤ 2θ ≤ 90°, most intense first:
2θ/deg	d_spacing	Rel. int.
39.66	2.272	100
23.95	3.715	79
39.52	2.280	51
71.78	1.315	32
46.74	1.943	26
57.12	1.612	16
27.66	3.225	16
72.07	1.311	16
46.99	1.934	13
63.03	1.475	10
85.45	1.136	10
57.55	1.601	8

Structure:
```
data_Li2MgScIn2Cu2
_chemical_formula_sum 'Li2 Mg1 Sc1 In2 Cu2'
_cell_length_a 4.5606
_cell_length_b 4.5606
_cell_length_c 6.4055
_cell_angle_alpha 90.00
_cell_angle_beta 90.00
_cell_angle_gamma 90.00
_symmetry_space_group_name_H-M 'P 1'
_symmetry_Int_Tables_number 1
loop_
_symmetry_equiv_pos_as_xyz
'x,y,z'
loop_
_atom_site_label
_atom_site_type_symbol
_atom_site_fract_x
_atom_site_fract_y
_atom_site_fract_z
Li1 Li 0.0000 0.5000 0.2418
Li2 Li 0.5000 0.0000 0.7582
Mg1 Mg 0.5000 0.5000 0.0000
Sc1 Sc 0.0000 0.0000 0.5000
In1 In 0.0000 0.0000 0.0000
In2 In 0.5000 0.5000 0.5000
Cu1 Cu 0.0000 0.5000 0.7473
Cu2 Cu 0.5000 0.0000 0.2527
```

Record 3
BaHg6: computed powder diffractogram (Cu Kα), based on a DFT-relaxed cell (PBE, OQMD).
Intensities are scaled so that the largest is 100.

Top 12 peaks for 10° ≤ 2θ ≤ 90°, most intense first:
2θ/deg	d_spacing	Rel. int.
31.09	2.877	100
34.09	2.630	93
31.37	2.852	70
40.46	2.230	59
31.27	2.861	37
36.52	2.461	29
65.35	1.428	27
41.13	2.195	26
58.95	1.567	25
33.34	2.687	25
38.27	2.352	21
72.49	1.304	18

Structure:
```
data_BaHg6
_chemical_formula_sum 'Ba4 Hg24'
_cell_length_a 13.5747
_cell_length_b 5.2601
_cell_length_c 10.5663
_cell_angle_alpha 90.00
_cell_angle_beta 90.00
_cell_angle_gamma 90.00
_symmetry_space_group_name_H-M 'P 1'
_symmetry_Int_Tables_number 1
loop_
_symmetry_equiv_pos_as_xyz
'x,y,z'
loop_
_atom_site_label
_atom_site_type_symbol
_atom_site_fract_x
_atom_site_fract_y
_atom_site_fract_z
Ba1 Ba 0.1816 0.2500 0.1274
Ba2 Ba 0.3184 0.7500 0.6274
Ba3 Ba 0.6816 0.2500 0.3726
Ba4 Ba 0.8184 0.7500 0.8726
Hg1 Hg 0.0055 0.7500 0.1092
Hg2 Hg 0.0421 0.7500 0.6351
Hg3 Hg 0.1000 0.7500 0.3594
Hg4 Hg 0.1347 0.7500 0.8888
Hg5 Hg 0.1585 0.2500 0.4912
Hg6 Hg 0.1900 0.2500 0.7646
Hg7 Hg 0.3100 0.7500 0.2646
Hg8 Hg 0.3415 0.7500 0.9912
Hg9 Hg 0.3653 0.2500 0.3888
Hg10 Hg 0.4000 0.2500 0.8594
Hg11 Hg 0.4579 0.2500 0.1351
Hg12 Hg 0.4945 0.2500 0.6092
Hg13 Hg 0.5055 0.7500 0.3908
Hg14 Hg 0.5421 0.7500 0.8649
Hg15 Hg 0.6000 0.7500 0.1406
Hg16 Hg 0.6347 0.7500 0.6112
Hg17 Hg 0.6585 0.2500 0.0088
Hg18 Hg 0.6900 0.2500 0.7354
Hg19 Hg 0.8100 0.7500 0.2354
Hg20 Hg 0.8415 0.7500 0.5088
Hg21 Hg 0.8653 0.2500 0.1112
Hg22 Hg 0.9000 0.2500 0.6406
Hg23 Hg 0.9579 0.2500 0.3649
Hg24 Hg 0.9945 0.2500 0.8908
```

Record 4
Cu2SnHgSe3S: computed powder diffractogram (Cu Kα), based on a DFT-relaxed cell (PBE, OQMD).
Intensities are scaled so that the largest is 100.

Top 12 peaks for 10° ≤ 2θ ≤ 90°, most intense first:
2θ/deg	d_spacing	Rel. int.
26.58	3.354	100
26.67	3.342	33
43.81	2.067	32
44.20	2.049	30
44.39	2.041	29
51.93	1.761	21
52.05	1.757	20
21.50	4.133	14
63.68	1.461	10
52.85	1.732	8
34.51	2.599	8
34.40	2.607	7

Structure:
```
data_Cu2SnHgSe3S
_chemical_formula_sum 'Cu2 Sn1 Hg1 Se3 S1'
_cell_length_a 5.8450
_cell_length_b 5.8450
_cell_length_c 7.0423
_cell_angle_alpha 114.33
_cell_angle_beta 114.33
_cell_angle_gamma 89.98
_symmetry_space_group_name_H-M 'P 1'
_symmetry_Int_Tables_number 1
loop_
_symmetry_equiv_pos_as_xyz
'x,y,z'
loop_
_atom_site_label
_atom_site_type_symbol
_atom_site_fract_x
_atom_site_fract_y
_atom_site_fract_z
Cu1 Cu 0.2373 0.7627 0.0000
Cu2 Cu 0.7627 0.2373 0.0000
Sn1 Sn 0.0011 0.0011 0.5172
Hg1 Hg 0.5129 0.5129 0.5158
Se1 Se 0.1046 0.6189 0.2259
Se2 Se 0.3899 0.3899 0.7988
Se3 Se 0.6189 0.1046 0.2259
S1 S 0.9036 0.9036 0.7932
```